Simulated X-ray diffraction stick pattern of Rb4Ac3FeO8 for λ = 1.5418 Å (Cu Kα), from a DFT-relaxed cell (GGA+U, Alexandria).

Principal peaks in the range 2θ from 10° to 90°, by angle:
- 2θ 13.2, 6.684 Å, intensity 603, hkl 0 0 1
- 2θ 26.7, 3.342 Å, intensity 638, hkl 0 0 2
- 2θ 28.7, 3.112 Å, intensity 496, hkl 4 0 -2
- 2θ 28.9, 3.085 Å, intensity 961, hkl 2 2 0
- 2θ 31.4, 2.846 Å, intensity 609, hkl 4 0 0
- 2θ 33.5, 2.675 Å, intensity 1000, hkl 2 2 -2
- 2θ 45.3, 2.002 Å, intensity 396, hkl 2 2 2
- 2θ 47.9, 1.900 Å, intensity 370, hkl 6 2 -2
- 2θ 54.4, 1.686 Å, intensity 187, hkl 6 2 0
- 2θ 54.6, 1.682 Å, intensity 207, hkl 2 2 -4

Cell and atoms:
```
data_Rb4Ac3FeO8
_cell_length_a 13.346
_cell_length_b 7.341
_cell_length_c 7.835
_cell_angle_alpha 90.00
_cell_angle_beta 121.46
_cell_angle_gamma 90.00
_space_group_name_H-M_alt 'C 1 2/m 1'
_space_group_IT_number 12
_space_group_name_Hall '-C 2y'
loop_
_atom_site_label
_atom_site_fract_x
_atom_site_fract_y
_atom_site_fract_z
Rb1 0.000 0.000 0.000
Rb2 0.000 0.500 0.000
Rb3 0.250 0.250 0.000
Ac1 0.000 0.000 0.500
Ac2 0.250 0.250 0.500
Fe1 0.000 0.500 0.500
O1 0.023 0.294 0.343
O2 0.219 0.000 0.688
O3 0.234 0.000 0.276
```